1.
The following is a theoretical powder XRD pattern of RbNaPAu. It was derived from DFT lattice parameters and positions (GGA-PBE), using Cu Kα X-rays.
Neutral-atom scattering factors, no anomalous dispersion.

```
RbNaPAu
1.0
6.391 0.000 0.000
0.000 3.660 4.791
0.000 -3.660 4.791
Rb Na P Au
2 2 2 2
Cartesian
1.598 -2.563 4.791
4.793 2.563 4.791
1.598 1.084 3.415
4.793 -1.084 3.415
1.598 1.795 6.309
4.793 -1.795 6.309
0.000 0.000 6.480
3.196 0.000 6.480
```

Top 10 peaks for 15 to 90 degrees two-theta, sorted by position:
two_theta	I (rel.)
15.23	100
18.52	32
30.54	46
30.74	24
31.95	62
33.70	45
37.36	27
38.05	23
42.00	25
55.43	23

2.
The following is a theoretical powder XRD pattern of Zr2Tl5F13. It was derived from DFT lattice parameters and positions (GGA-PBE), using Cu Kα X-rays.
Neutral-atom scattering factors, no anomalous dispersion.

```
Zr2Tl5F13
1.0
6.000 -3.180 0.000
6.000 3.180 0.000
-0.691 0.000 8.654
Zr Tl F
2 5 13
Cartesian
0.812 0.000 2.044
10.496 0.000 6.609
2.233 0.000 5.806
4.426 0.000 0.503
5.654 0.000 4.327
6.882 0.000 8.151
9.075 0.000 2.848
0.000 0.000 0.000
3.157 1.918 7.532
3.919 1.953 5.048
5.290 1.798 2.187
6.018 1.798 6.467
7.388 1.953 3.606
8.151 1.918 1.122
3.157 -1.918 7.532
3.919 -1.953 5.048
5.290 -1.798 2.187
6.018 -1.798 6.467
7.388 -1.953 3.606
8.151 -1.918 1.122
```

Top 10 peaks for 15 to 90 degrees two-theta, sorted by position:
two_theta	I (rel.)
26.47	100
27.69	96
28.06	34
32.45	18
33.40	17
43.42	36
44.17	31
45.72	13
48.70	18
49.43	21

3.
The following is a theoretical powder XRD pattern of KNb4HN5. It was derived from DFT lattice parameters and positions (GGA-PBE), using Cu Kα X-rays.
Neutral-atom scattering factors, no anomalous dispersion.

```
KNb4HN5
1.0
4.164 0.000 0.000
0.000 4.164 0.000
0.000 0.000 8.447
K Nb H N
1 4 1 5
Cartesian
0.000 0.000 0.000
0.000 2.082 4.223
2.082 0.000 4.223
2.082 2.082 1.933
2.082 2.082 6.514
2.082 2.082 0.000
0.000 0.000 4.223
0.000 2.082 2.082
0.000 2.082 6.365
2.082 0.000 2.082
2.082 0.000 6.365
```

Top 10 peaks for 15 to 90 degrees two-theta, sorted by position:
two_theta	I (rel.)
21.34	39
30.14	100
32.19	88
37.22	71
42.82	35
43.46	74
53.80	36
62.66	41
63.15	22
79.34	22

4.
The following is a theoretical powder XRD pattern of Pr6Fe13Au. It was derived from DFT lattice parameters and positions (GGA-PBE), using Cu Kα X-rays.
Neutral-atom scattering factors, no anomalous dispersion.

```
Pr6Fe13Au
1.0
-4.002 4.002 11.551
4.002 -4.002 11.551
4.002 4.002 -11.551
Pr Fe Au
12 26 2
Cartesian
2.695 -1.307 4.332
0.000 0.000 2.496
5.308 -1.307 7.219
5.308 1.307 4.332
0.000 0.000 9.055
2.695 1.307 7.219
1.307 2.695 4.332
0.000 0.000 14.047
-1.307 2.695 7.219
-1.307 5.308 4.332
0.000 0.000 20.606
1.307 5.308 7.219
4.002 0.000 0.000
3.092 0.910 -2.193
1.676 0.533 0.000
5.432 1.430 -1.370
3.092 0.910 2.193
3.468 -2.325 11.551
5.432 1.430 1.370
1.430 2.571 -1.370
3.468 2.325 0.000
3.092 -0.910 9.358
1.430 2.571 1.370
1.676 -0.533 11.551
3.092 -0.910 13.744
0.000 4.002 0.000
0.910 4.912 -2.193
2.325 4.535 0.000
2.571 1.430 10.181
0.910 4.912 2.193
0.533 1.676 11.551
2.571 1.430 12.921
-1.430 2.571 10.181
0.533 6.327 0.000
0.910 3.092 9.358
-1.430 2.571 12.921
2.325 3.468 11.551
0.910 3.092 13.744
0.000 0.000 5.776
0.000 0.000 17.327
```

Top 10 peaks for 15 to 90 degrees two-theta, sorted by position:
two_theta	I (rel.)
27.48	62
31.62	100
32.26	34
34.88	43
35.47	91
38.44	70
43.38	33
46.98	32
51.03	40
58.44	33

5.
The following is a theoretical powder XRD pattern of Sm4B2Br5. It was derived from DFT lattice parameters and positions (GGA-PBE), using Cu Kα X-rays.
Neutral-atom scattering factors, no anomalous dispersion.

```
Sm4B2Br5
1.0
10.150 -1.977 0.000
10.150 1.977 0.000
-1.915 0.000 8.006
Sm B Br
4 2 5
Cartesian
-0.357 0.000 1.638
5.180 0.000 7.196
13.205 0.000 0.810
18.742 0.000 6.368
7.469 0.000 7.830
10.916 0.000 0.175
2.590 0.000 2.886
1.859 0.000 6.740
9.192 0.000 4.003
16.526 0.000 1.266
15.795 0.000 5.120
```

Top 10 peaks for 15 to 90 degrees two-theta, sorted by position:
two_theta	I (rel.)
15.79	18
27.10	80
27.32	27
29.84	20
31.38	100
41.47	40
42.39	44
44.02	12
45.91	20
54.13	23

6.
The following is a theoretical powder XRD pattern of Nd2Re2S2O5. It was derived from DFT lattice parameters and positions (GGA-PBE), using Cu Kα X-rays.
Neutral-atom scattering factors, no anomalous dispersion.

```
Nd2Re2S2O5
1.0
-2.000 2.000 10.963
2.000 -2.000 10.963
2.000 2.000 -10.963
Nd Re S O
2 2 2 5
Cartesian
0.000 0.000 3.588
0.000 0.000 18.338
0.000 0.000 9.135
0.000 0.000 12.791
0.000 0.000 6.550
0.000 0.000 15.376
2.000 0.000 2.126
2.000 0.000 8.837
0.000 0.000 10.963
0.000 2.000 2.126
0.000 2.000 8.837
```

Top 10 peaks for 15 to 90 degrees two-theta, sorted by position:
two_theta	I (rel.)
16.17	73
22.59	44
25.38	49
30.24	62
31.63	100
36.43	86
45.34	52
55.47	24
59.50	42
60.30	24

7.
The following is a theoretical powder XRD pattern of ZrTlTePdSe2. It was derived from DFT lattice parameters and positions (GGA-PBE), using Cu Kα X-rays.
Neutral-atom scattering factors, no anomalous dispersion.

```
ZrTlTePdSe2
1.0
8.505 0.000 0.000
0.000 3.822 0.000
-3.866 0.000 9.699
Zr Tl Te Pd Se
2 2 2 2 4
Cartesian
1.039 0.955 1.567
3.600 2.866 8.132
-0.697 2.866 7.227
5.335 0.955 2.472
0.250 0.955 4.395
4.389 2.866 5.304
1.997 2.866 3.736
2.641 0.955 5.963
-2.943 0.955 8.491
2.930 2.866 1.339
1.708 0.955 8.360
7.582 2.866 1.208
```

Top 10 peaks for 15 to 90 degrees two-theta, sorted by position:
two_theta	I (rel.)
22.51	43
25.62	36
29.31	82
31.49	100
32.60	55
33.61	48
34.88	34
36.21	58
42.92	48
47.59	44